Li4Fe5CoO12: computed XRD peak list (Cu Kα), based on DFT lattice parameters and positions (PBE+U).

Most intense lines, 10° ≤ 2θ ≤ 90°, low angle first:
17.30 deg, I = 1000, (0 0 2)
36.41 deg, I = 288, (-2 1 1)
39.15 deg, I = 87, (1 1 2)
44.40 deg, I = 245, (2 -1 3)
57.81 deg, I = 92, (2 -1 5)
63.41 deg, I = 154, (3 0 -1)

abc: 5.084 5.086 10.255
angles: 90.13 90.08 119.03
Atoms (fractional coordinates):
Li: 0.000 0.000 0.000
Li: 0.202 0.208 0.503
Li: 0.504 0.497 0.000
Li: 0.713 0.696 0.503
Fe: 0.019 0.190 0.251
Fe: 0.189 0.018 0.751
Fe: 0.350 0.859 0.252
Fe: 0.520 0.687 0.751
Fe: 0.688 0.520 0.251
Co: 0.855 0.352 0.751
O: 0.011 0.525 0.153
O: 0.024 0.875 0.364
O: 0.167 0.663 0.659
O: 0.174 0.339 0.857
O: 0.333 0.184 0.139
O: 0.375 0.526 0.359
O: 0.535 0.367 0.646
O: 0.544 0.039 0.844
O: 0.683 0.834 0.144
O: 0.684 0.199 0.349
O: 0.839 0.672 0.857
O: 0.868 0.032 0.645